Diffraction record for AlTe2Au. The powder XRD pattern is simulated, not measured: it uses a DFT-relaxed cell (GGA-PBE, Alexandria) and λ = 1.5418 Å (Cu Kα).

Main lines, in order of rising 2θ (2θ = 10–80°):
- 14.72 deg, intensity 61.6, (1 0 0)
- 19.31 deg, intensity 40.0, (1 0 1)
- 23.55 deg, intensity 100.0, (1 1 1)
- 26.88 deg, intensity 55.7, (0 2 0)
- 29.14 deg, intensity 27.5, (1 0 2)
- 32.31 deg, intensity 24.0, (2 0 1)
- 33.32 deg, intensity 37.8, (1 2 1)
- 39.20 deg, intensity 43.0, (2 0 2)
- 42.51 deg, intensity 33.8, (2 2 1)
- 47.08 deg, intensity 28.8, (0 2 3)
- 48.18 deg, intensity 36.5, (2 2 2)
- 69.96 deg, intensity 17.7, (2 4 2)

abc: 6.016 6.632 7.122
angles: 90.00 90.09 90.00
Space group P2/m (No. 10)
Unique sites:
Al: 0.000 0.250 0.000 (multiplicity 2)
Te: 0.254 0.000 0.202 (multiplicity 2)
Te: 0.254 0.500 0.799 (multiplicity 2)
Au: 0.000 0.000 0.500 (multiplicity 1)
Au: 0.000 0.500 0.500 (multiplicity 1)